No. 1
The following is a calculated X-ray diffraction stick pattern of LiMnO2. It was derived from a cell relaxed with GGA+U, using Cu Kα (weighted mean of Kα1 and Kα2).
Intensities are scaled so that the largest is 100.

Structural model:
```
56
Lattice="2.8718 0.0000 0.0000 0.0000 32.4433 0.0000 0.0000 0.0000 5.8228" Properties=species:S:1:pos:R:3 pbc="T T T"
Li 0.0000 0.0000 0.0000
Li 0.0000 4.5962 2.7609
Li 0.0000 9.2531 5.7947
Li 0.0000 13.8970 5.8073
Li 0.0000 18.5463 5.8073
Li 0.0000 23.1902 5.7947
Li 0.0000 27.8471 2.7609
Li 1.4359 2.2884 1.3985
Li 1.4359 6.8694 1.3655
Li 1.4359 11.5477 1.3749
Li 1.4359 16.2217 1.3846
Li 1.4359 20.8956 1.3749
Li 1.4359 25.5740 1.3655
Li 1.4359 30.1550 1.3985
Mn 0.0000 0.0000 2.7851
Mn 0.0000 4.5666 5.7869
Mn 0.0000 9.2125 2.7828
Mn 0.0000 13.8828 2.8033
Mn 0.0000 18.5606 2.8033
Mn 0.0000 23.2308 2.7828
Mn 0.0000 27.8768 5.7869
Mn 1.4359 2.2784 4.3031
Mn 1.4359 6.8796 4.2862
Mn 1.4359 11.5412 4.3743
Mn 1.4359 16.2217 4.3853
Mn 1.4359 20.9022 4.3743
Mn 1.4359 25.5638 4.2862
Mn 1.4359 30.1650 4.3031
O 0.0000 2.2603 5.6458
O 0.0000 2.2997 2.9639
O 0.0000 6.8683 2.9456
O 0.0000 6.8870 5.6255
O 0.0000 11.5318 5.6805
O 0.0000 11.5528 3.0014
O 0.0000 16.2217 3.0130
O 0.0000 16.2217 5.6908
O 0.0000 20.8905 3.0014
O 0.0000 20.9116 5.6805
O 0.0000 25.5751 2.9456
O 0.0000 25.5563 5.6255
O 0.0000 30.1436 2.9639
O 0.0000 30.1831 5.6458
O 1.4359 0.0000 1.4850
O 1.4359 0.0000 4.1639
O 1.4359 4.5695 1.2656
O 1.4359 4.5743 4.4090
O 1.4359 9.2207 1.4794
O 1.4359 9.2150 4.1564
O 1.4359 13.8847 1.4969
O 1.4359 13.8839 4.1775
O 1.4359 18.5586 1.4969
O 1.4359 18.5594 4.1775
O 1.4359 23.2227 1.4794
O 1.4359 23.2283 4.1564
O 1.4359 27.8738 1.2656
O 1.4359 27.8691 4.4090
```

Principal peaks in the range 15 to 90 degrees two-theta, in order of rising 2θ:
2θ/deg	I (rel.)	(hkl)
15.22	79	0 0 1
17.30	27	0 3 1
24.55	64	0 7 1
38.86	77	0 14 0
44.30	100	1 0 2
60.38	68	1 14 2



No. 2
The following is a calculated X-ray diffraction stick pattern of Mg14NbVO16. It was derived from a cell relaxed with GGA+U, using Cu Kα (weighted mean of Kα1 and Kα2).
Intensities are scaled so that the largest is 100.

Structural model:
```
32
Lattice="8.6230 0.0000 0.0000 0.0000 8.6230 0.0000 0.0000 0.0000 4.2953" Properties=species:S:1:pos:R:3 pbc="T T T"
Mg 0.0000 2.1596 0.0000
Mg 0.0000 4.3115 2.1476
Mg 0.0000 6.4634 0.0000
Mg 2.1166 4.3115 0.0000
Mg 2.1424 2.1424 2.1476
Mg 2.1424 6.4806 2.1476
Mg 2.1596 0.0000 0.0000
Mg 4.3115 0.0000 2.1476
Mg 4.3115 2.1166 0.0000
Mg 4.3115 6.5064 0.0000
Mg 6.4634 0.0000 0.0000
Mg 6.4806 2.1424 2.1476
Mg 6.4806 6.4806 2.1476
Mg 6.5064 4.3115 0.0000
Nb 4.3115 4.3115 2.1476
V 0.0000 0.0000 2.1476
O 0.0000 0.0000 0.0000
O 0.0000 2.1860 2.1476
O 0.0000 4.3115 0.0000
O 0.0000 6.4370 2.1476
O 2.0534 4.3115 2.1476
O 2.1582 2.1582 0.0000
O 2.1582 6.4649 0.0000
O 2.1860 0.0000 2.1476
O 4.3115 0.0000 0.0000
O 4.3115 2.0534 2.1476
O 4.3115 4.3115 0.0000
O 4.3115 6.5696 2.1476
O 6.4370 0.0000 2.1476
O 6.4649 2.1582 0.0000
O 6.4649 6.4649 0.0000
O 6.5696 4.3115 2.1476
```

Principal peaks in the range 15 to 90 degrees two-theta, in order of rising 2θ:
2θ/deg	I (rel.)	(hkl)
36.13	31	2 2 1
41.91	100	4 0 0
42.07	50	0 0 2
60.76	29	4 4 0
60.89	57	4 0 2
76.66	26	4 4 2



No. 3
The following is a calculated X-ray diffraction stick pattern of EuCuW2O8. It was derived from a cell relaxed with GGA+U, using Cu Kα (weighted mean of Kα1 and Kα2).
Intensities are scaled so that the largest is 100.

Structural model:
```
24
Lattice="7.3163 0.0000 0.0000 -0.1357 7.4447 0.0000 -3.3561 -3.3414 6.1519" Properties=species:S:1:pos:R:3 pbc="T T T"
Eu -0.2124 0.5269 2.8549
Eu 4.0369 3.5764 3.2970
Cu -1.6313 1.8038 5.8730
Cu 5.4558 2.2995 0.2789
W 1.7933 2.0848 0.2427
W 0.0711 4.2837 4.3525
W 3.7534 -0.1804 1.7994
W 2.0312 2.0185 5.9092
O -0.0213 2.0115 0.5434
O -1.7647 4.7156 4.9352
O -0.6221 2.8986 3.3817
O -1.3262 0.0164 5.0464
O 0.2846 5.6168 3.1887
O 1.9398 0.4213 1.5472
O 2.3670 3.1295 1.6126
O 3.3700 6.1159 0.0175
O 0.4545 -2.0126 6.1344
O 1.4575 0.9738 4.5393
O 1.8847 3.6820 4.6047
O 3.5399 -1.5135 2.9632
O 5.1507 4.0869 1.1055
O 4.4466 1.2047 2.7702
O 5.5892 -0.6122 1.2168
O 3.8458 2.0918 5.6085
```

Principal peaks in the range 15 to 90 degrees two-theta, in order of rising 2θ:
2θ/deg	I (rel.)	(hkl)
21.69	34	1 1 0
24.13	35	0 1 1
27.91	72	2 0 0
28.86	100	0 2 -2
34.03	37	2 -2 0
34.76	39	2 2 -2